Entry 1:
This entry pairs a crystal structure of YNi2TeO6 with its theoretical powder diffractogram. Radiation: Cu Ka. Structure: the PBE+U geometry in Alexandria.

Crystal structure
```
YNi2TeO6
1.0
5.481 0.000 0.000
0.000 5.616 0.000
-5.399 0.000 7.953
Y Ni Te O
2 4 2 12
Direct
0.000 0.000 0.000
0.000 0.500 0.500
0.222 0.030 0.710
0.222 0.470 0.210
0.778 0.530 0.790
0.778 0.970 0.290
0.500 0.000 0.500
0.500 0.500 0.000
0.134 0.155 0.464
0.134 0.345 0.964
0.230 0.696 0.389
0.230 0.804 0.889
0.414 0.122 0.271
0.414 0.378 0.771
0.586 0.622 0.229
0.586 0.878 0.729
0.770 0.196 0.111
0.770 0.304 0.611
0.866 0.655 0.036
0.866 0.845 0.536
```

Main lines, in order of falling intensity (10 to 80 degrees two-theta):
| two_theta | d/Å | I (rel.) |
| --- | --- | --- |
| 31.9 | 2.804 | 100 |
| 32.2 | 2.782 | 58 |
| 32.7 | 2.740 | 30 |
| 46.3 | 1.961 | 30 |
| 56.8 | 1.621 | 25 |
| 57.0 | 1.616 | 21 |
| 57.7 | 1.598 | 17 |
| 19.3 | 4.587 | 15 |
| 58.2 | 1.586 | 14 |
| 22.7 | 3.922 | 12 |

Entry 2:
This entry pairs a crystal structure of ZnNiTe3O8 with its theoretical powder diffractogram. Radiation: Cu Ka. Structure: the PBE+U geometry in Alexandria.

Crystal structure
```
ZnNiTe3O8
1.0
6.329 -2.652 0.000
6.329 2.652 0.000
-1.799 0.000 11.659
Zn Ni Te O
2 2 6 16
Direct
0.230 0.230 0.096
0.770 0.770 0.904
0.153 0.379 0.396
0.621 0.847 0.604
0.034 0.966 0.500
0.146 0.125 0.800
0.248 0.476 0.690
0.348 0.652 0.000
0.524 0.752 0.310
0.875 0.854 0.200
0.038 0.361 0.937
0.044 0.795 0.894
0.174 0.054 0.385
0.178 0.659 0.395
0.205 0.956 0.106
0.211 0.560 0.114
0.341 0.822 0.605
0.361 0.245 0.552
0.440 0.789 0.886
0.459 0.069 0.774
0.488 0.052 0.288
0.639 0.962 0.063
0.755 0.639 0.448
0.931 0.541 0.226
0.946 0.826 0.615
0.948 0.512 0.712
```

Main lines, in order of falling intensity (10 to 80 degrees two-theta):
| two_theta | d/Å | I (rel.) |
| --- | --- | --- |
| 30.2 | 2.955 | 100 |
| 27.4 | 3.259 | 71 |
| 18.2 | 4.883 | 42 |
| 22.4 | 3.973 | 32 |
| 31.8 | 2.811 | 30 |
| 59.9 | 1.544 | 19 |
| 19.3 | 4.602 | 18 |
| 37.2 | 2.419 | 17 |
| 41.7 | 2.166 | 16 |
| 41.2 | 2.190 | 16 |

Entry 3:
This entry pairs a crystal structure of TiNiO6 with its theoretical powder diffractogram. Radiation: Cu Ka. Structure: the PBE+U geometry in Alexandria.

Crystal structure
```
TiNiO6
1.0
2.508 1.448 4.930
-2.508 1.448 4.930
0.000 -2.896 4.930
Ti Ni O
1 1 6
Direct
0.000 0.000 0.000
0.791 0.791 0.791
0.008 0.402 0.752
0.142 0.864 0.641
0.402 0.752 0.008
0.641 0.142 0.864
0.752 0.008 0.402
0.864 0.641 0.142
```

Main lines, in order of falling intensity (10 to 80 degrees two-theta):
| two_theta | d/Å | I (rel.) |
| --- | --- | --- |
| 21.3 | 4.168 | 100 |
| 31.8 | 2.816 | 22 |
| 40.3 | 2.236 | 18 |
| 52.0 | 1.758 | 16 |
| 36.8 | 2.445 | 14 |
| 52.2 | 1.751 | 12 |
| 23.8 | 3.746 | 11 |
| 35.8 | 2.508 | 10 |
| 61.8 | 1.501 | 10 |
| 18.0 | 4.930 | 9 |

Entry 4:
This entry pairs a crystal structure of TiZnNiO4 with its theoretical powder diffractogram. Radiation: Cu Ka. Structure: the PBE+U geometry in Alexandria.

Crystal structure
```
TiZnNiO4
1.0
-2.980 3.009 4.265
2.980 -3.009 4.265
2.980 3.009 -4.265
Ti Zn Ni O
2 2 2 8
Direct
0.000 0.000 0.000
0.500 0.000 0.500
0.386 0.636 0.750
0.614 0.364 0.250
0.000 0.000 0.500
0.000 0.500 0.000
0.213 0.228 0.985
0.249 0.223 0.474
0.249 0.776 0.026
0.257 0.772 0.485
0.743 0.228 0.515
0.751 0.224 0.974
0.751 0.777 0.526
0.787 0.772 0.015
```

Main lines, in order of falling intensity (10 to 80 degrees two-theta):
| two_theta | d/Å | I (rel.) |
| --- | --- | --- |
| 35.2 | 2.549 | 100 |
| 61.7 | 1.503 | 88 |
| 29.7 | 3.006 | 84 |
| 34.9 | 2.569 | 81 |
| 35.0 | 2.562 | 66 |
| 56.1 | 1.640 | 33 |
| 56.3 | 1.633 | 29 |
| 56.5 | 1.628 | 27 |
| 42.7 | 2.117 | 21 |
| 52.7 | 1.735 | 20 |